Diffraction record for Li7Nb2Fe3O16. The powder diffraction line list is theoretical, not measured: it uses a cell relaxed with PBE+U and Cu Kα (λ = 1.5418 Å).
Peak positions follow from Bragg's law for the DFT cell and can differ from measured ones.

```
Li7Nb2Fe3O16
1.0
5.867 0.000 0.000
-2.890 5.177 0.000
-0.153 -0.202 9.682
Li Nb Fe O
7 2 3 16
Direct
0.000 0.000 0.000
0.003 0.483 0.192
0.354 0.677 0.496
0.484 0.478 0.188
0.656 0.309 0.401
0.668 0.320 0.908
0.832 0.664 0.685
0.313 0.612 0.914
0.995 0.979 0.398
0.328 0.146 0.681
0.488 0.968 0.181
0.838 0.158 0.682
0.020 0.019 0.785
0.172 0.866 0.561
0.174 0.359 0.044
0.175 0.298 0.562
0.207 0.834 0.056
0.325 0.129 0.303
0.352 0.687 0.287
0.487 0.999 0.795
0.492 0.478 0.804
0.629 0.825 0.052
0.636 0.283 0.096
0.650 0.304 0.592
0.718 0.883 0.557
0.812 0.133 0.298
0.835 0.648 0.329
0.990 0.473 0.800
```

Largest 6 diffraction maxima, sorted by position, 10 to 90 degrees two-theta:
two_theta  Rel. int.  h k l
17.1  40  0 1 0
19.3  100  0 1 -1
19.4  48  1 0 -1
19.8  66  1 -1 1
25.0  37  0 1 -2
25.4  54  0 1 2